This entry pairs a crystal structure of Sr2Zn3GeAu12 with its simulated PXRD pattern. Radiation: λ = 1.5418 Å (Cu Kα). Structure: a crystal structure in Alexandria, relaxed with GGA-PBE.

Peak list (10 most intense, 2θ = 15–90°, sorted by position)
- d = 4.587 Å, 2θ 19.35, I 349
- d = 3.003 Å, 2θ 29.75, I 346
- d = 2.809 Å, 2θ 31.86, I 1000
- d = 2.512 Å, 2θ 35.74, I 212
- d = 2.318 Å, 2θ 38.86, I 204
- d = 2.294 Å, 2θ 39.28, I 857
- d = 2.051 Å, 2θ 44.15, I 335
- d = 1.941 Å, 2θ 46.80, I 200
- d = 1.873 Å, 2θ 48.62, I 336
- d = 1.777 Å, 2θ 51.43, I 329

Crystal structure
Cell lengths 10.0491, 10.0491, 10.0491 Å; angles 41.42, 41.42, 41.42 degrees
Sites, in units of the cell vectors:
Sr  0.1501  0.1501  0.1501
Sr  0.8499  0.8499  0.8499
Zn  0.0000  0.5000  0.5000
Zn  0.5000  0.0000  0.5000
Zn  0.5000  0.5000  0.0000
Ge  0.5000  0.5000  0.5000
Au  0.0878  0.0878  0.6862
Au  0.0878  0.6862  0.0878
Au  0.1428  0.5777  0.5777
Au  0.3138  0.9122  0.9122
Au  0.4223  0.4223  0.8572
Au  0.4223  0.8572  0.4223
Au  0.5777  0.1428  0.5777
Au  0.5777  0.5777  0.1428
Au  0.6862  0.0878  0.0878
Au  0.8572  0.4223  0.4223
Au  0.9122  0.3138  0.9122
Au  0.9122  0.9122  0.3138